1.
For Li3Ni2SnO6, a cell relaxed with PBE+U gives the simulated X-ray powder pattern in this record (a wavelength of 1.5418 Å).
Neutral-atom scattering factors, no anomalous dispersion.

a b c (Å): 6.056 6.715 6.746
angles (deg): 72.75 63.36 76.98
Space group P-1 (No. 2)
Unique sites:
Li 0.000 0.000 0.000
Li 0.171 0.647 0.334
Li 0.317 0.349 0.695
Li 0.500 0.000 0.000
Ni 0.087 0.339 0.156
Ni 0.409 0.658 0.849
Sn 0.249 0.000 0.499
O 0.035 0.666 0.065
O 0.122 0.991 0.260
O 0.209 0.327 0.389
O 0.264 0.676 0.606
O 0.381 0.004 0.736
O 0.433 0.336 0.935

Largest 10 diffraction maxima, sorted by position, 10 to 90 degrees two-theta:
h k l  2θ/deg  I (rel.)
0 1 1  18.09  100.0
2 1 0  34.76  32.0
0 2 -1  34.90  18.8
2 -1 1  36.43  23.8
2 1 3  42.30  46.1
0 3 0  42.54  23.1
2 -2 0  46.41  12.8
2 2 4  56.02  10.9
2 3 -1  61.40  13.6
2 4 3  61.69  13.5



2.
For Fe3O4F2, a cell relaxed with PBE+U gives the simulated X-ray powder pattern in this record (a wavelength of 1.5418 Å).
Neutral-atom scattering factors, no anomalous dispersion.

a b c (Å): 4.687 5.627 7.685
angles (deg): 85.29 88.87 87.88
Space group P1 (No. 1)
Unique sites:
Fe 0.000 0.000 0.000
Fe 0.006 0.358 0.696
Fe 0.467 0.818 0.660
Fe 0.501 0.509 0.014
Fe 0.521 0.163 0.337
Fe 0.985 0.682 0.338
O 0.188 0.042 0.777
O 0.192 0.712 0.105
O 0.308 0.882 0.432
O 0.311 0.537 0.788
O 0.683 0.466 0.238
O 0.797 0.296 0.916
O 0.803 0.970 0.223
O 0.810 0.634 0.572
F 0.199 0.371 0.444
F 0.291 0.210 0.113
F 0.693 0.803 0.898
F 0.698 0.138 0.574

Largest 10 diffraction maxima, sorted by position, 10 to 90 degrees two-theta:
h k l  2θ/deg  I (rel.)
1 1 1  26.30  100.0
-1 1 1  27.39  96.9
1 1 -2  35.01  54.2
1 -1 2  35.19  49.7
2 2 -1  52.18  15.7
2 0 -3  53.55  27.4
2 2 2  54.12  16.3
-2 2 2  56.53  15.7
0 2 -4  60.78  17.1
3 1 -2  67.22  19.6



3.
For Mn6O5F7, a cell relaxed with PBE+U gives the simulated X-ray powder pattern in this record (a wavelength of 1.5418 Å).
Neutral-atom scattering factors, no anomalous dispersion.

a b c (Å): 4.786 5.711 7.871
angles (deg): 86.11 87.51 86.08
Space group P1 (No. 1)
Unique sites:
Mn 0.000 0.000 0.000
Mn 0.012 0.366 0.678
Mn 0.452 0.521 0.997
Mn 0.484 0.842 0.672
Mn 0.514 0.171 0.329
Mn 0.978 0.690 0.333
O 0.180 0.715 0.107
O 0.187 0.058 0.773
O 0.297 0.558 0.775
O 0.794 0.643 0.565
O 0.807 0.975 0.227
F 0.190 0.387 0.422
F 0.288 0.213 0.104
F 0.301 0.888 0.435
F 0.668 0.481 0.218
F 0.689 0.811 0.901
F 0.690 0.144 0.575
F 0.776 0.309 0.914

Largest 10 diffraction maxima, sorted by position, 10 to 90 degrees two-theta:
h k l  2θ/deg  I (rel.)
1 1 1  25.39  100.0
-1 1 1  27.51  86.6
1 1 -2  34.14  25.8
0 0 3  34.28  69.7
2 2 -1  50.52  16.7
1 1 4  50.81  31.5
2 2 2  52.16  18.5
1 -3 0  53.14  37.1
0 2 -4  58.92  17.8
0 4 1  66.02  20.3



4.
For Ba2CrO4, a cell relaxed with PBE+U gives the simulated X-ray powder pattern in this record (a wavelength of 1.5418 Å).
Neutral-atom scattering factors, no anomalous dispersion.

a b c (Å): 7.732 10.724 6.017
angles (deg): 90.00 90.00 90.00
Space group Pna2_1 (No. 33)
Unique sites:
Ba 0.003 0.196 0.000
Ba 0.151 0.431 0.495
Cr 0.218 0.079 0.494
O 0.012 0.923 0.979
O 0.186 0.423 0.998
O 0.189 0.647 0.748
O 0.198 0.652 0.241

Largest 10 diffraction maxima, sorted by position, 10 to 90 degrees two-theta:
h k l  2θ/deg  I (rel.)
1 2 1  25.05  57.8
2 0 1  27.45  54.8
2 2 0  28.46  35.7
2 1 1  28.68  76.9
0 3 1  29.06  100.0
0 0 2  29.70  75.6
3 1 0  35.83  28.1
1 3 2  40.91  27.9
2 2 2  41.60  30.9
3 4 1  51.47  32.3



5.
For PbWO4, a cell relaxed with PBE+U gives the simulated X-ray powder pattern in this record (a wavelength of 1.5418 Å).
Neutral-atom scattering factors, no anomalous dispersion.

a b c (Å): 5.568 5.568 12.251
angles (deg): 90.00 90.00 90.00
Space group I4_1/a (No. 88, origin choice 2)
Unique sites:
Pb 0.000 0.250 0.125
W 0.000 0.250 0.625
O 0.140 0.015 0.707

Largest 10 diffraction maxima, sorted by position, 10 to 90 degrees two-theta:
h k l  2θ/deg  I (rel.)
1 1 2  26.92  100.0
0 0 4  29.16  16.9
2 0 0  32.15  25.3
2 0 4  43.95  29.6
2 2 0  46.11  12.5
1 1 6  50.34  18.1
3 1 2  54.20  29.2
2 2 4  55.49  13.5
1 3 6  70.64  14.1
2 4 4  83.89  8.5